No. 1
For Pm2ZnSn4Pd3, a cell relaxed with PBE gives the theoretical X-ray powder pattern in this record (Cu Kα (λ = 1.5418 Å)).
Lines closer than 0.1° are merged.

Cell and atoms:
```
data_Pm2ZnSn4Pd3
_chemical_formula_sum 'Pm2 Zn1 Sn4 Pd3'
_cell_length_a 4.4387
_cell_length_b 4.4387
_cell_length_c 11.4030
_cell_angle_alpha 90.00
_cell_angle_beta 90.00
_cell_angle_gamma 90.00
_symmetry_space_group_name_H-M 'P -4 m 2'
_symmetry_Int_Tables_number 115
loop_
_symmetry_equiv_pos_as_xyz
'x,y,z'
'y,-x,-z'
'-x,-y,z'
'-y,x,-z'
'-x,y,z'
'-y,-x,-z'
'x,-y,z'
'y,x,-z'
loop_
_atom_site_label
_atom_site_type_symbol
_atom_site_fract_x
_atom_site_fract_y
_atom_site_fract_z
Pm1 Pm 0.0000 0.5000 0.2416
Zn1 Zn 0.5000 0.5000 0.0000
Sn1 Sn 0.0000 0.0000 0.5000
Sn2 Sn 0.0000 0.5000 0.8644
Sn3 Sn 0.5000 0.5000 0.5000
Pd1 Pd 0.0000 0.0000 0.0000
Pd2 Pd 0.0000 0.5000 0.6361
```

Main lines, in order of rising 2θ (2θ from 10° to 90°):
30.97 deg, I = 56, hkl 1 0 3; 32.57 deg, I = 100, hkl 1 1 2; 40.65 deg, I = 63, hkl 2 0 0; 42.86 deg, I = 26, hkl 1 1 4; 44.67 deg, I = 34, hkl 1 0 5; 51.97 deg, I = 26, hkl 2 1 3; 58.85 deg, I = 21, hkl 2 2 0; 61.98 deg, I = 26, hkl 2 1 5; 68.89 deg, I = 23, hkl 3 1 2; 80.00 deg, I = 15, hkl 2 0 8



No. 2
For Pu2BeAlPd6, a cell relaxed with PBE gives the theoretical X-ray powder pattern in this record (Cu Kα (λ = 1.5418 Å)).
Lines closer than 0.1° are merged.

Cell and atoms:
```
data_Pu2BeAlPd6
_chemical_formula_sum 'Pu4 Be2 Al2 Pd12'
_cell_length_a 10.0629
_cell_length_b 5.8074
_cell_length_c 7.1496
_cell_angle_alpha 90.00
_cell_angle_beta 118.05
_cell_angle_gamma 90.00
_symmetry_space_group_name_H-M 'C 1 2/m 1'
_symmetry_Int_Tables_number 12
loop_
_symmetry_equiv_pos_as_xyz
'x,y,z'
'-x,-y,-z'
'-x,y,-z'
'x,-y,z'
'x+1/2,y+1/2,z'
'-x+1/2,-y+1/2,-z'
'-x+1/2,y+1/2,-z'
'x+1/2,-y+1/2,z'
loop_
_atom_site_label
_atom_site_type_symbol
_atom_site_fract_x
_atom_site_fract_y
_atom_site_fract_z
Pu1 Pu 0.2173 0.0000 0.1533
Be1 Be 0.0000 0.0000 0.5000
Al1 Al 0.0000 0.5000 0.0000
Pd1 Pd 0.0193 0.2594 0.3001
Pd2 Pd 0.2398 0.0000 0.6981
```

Main lines, in order of rising 2θ (2θ from 10° to 90°):
19.99 deg, I = 14, hkl 1 1 -1; 28.29 deg, I = 27, hkl 0 0 2; 29.53 deg, I = 45, hkl 1 1 -2; 33.98 deg, I = 30, hkl 3 1 0; 36.98 deg, I = 100, hkl 2 2 0; 37.77 deg, I = 33, hkl 1 1 2; 40.62 deg, I = 65, hkl 4 0 0; 53.81 deg, I = 24, hkl 3 1 -4; 59.42 deg, I = 22, hkl 5 1 -4; 64.13 deg, I = 24, hkl 0 4 0



No. 3
For PmZnRh, a cell relaxed with PBE gives the theoretical X-ray powder pattern in this record (Cu Kα (λ = 1.5418 Å)).
Lines closer than 0.1° are merged.

Cell and atoms:
```
data_PmZnRh
_chemical_formula_sum 'Pm4 Zn4 Rh4'
_cell_length_a 6.4983
_cell_length_b 6.4983
_cell_length_c 6.4983
_cell_angle_alpha 90.00
_cell_angle_beta 90.00
_cell_angle_gamma 90.00
_symmetry_space_group_name_H-M 'F -4 3 m'
_symmetry_Int_Tables_number 216
_symmetry_space_group_name_Hall 'F -4 2 3'
loop_
_atom_site_label
_atom_site_type_symbol
_atom_site_fract_x
_atom_site_fract_y
_atom_site_fract_z
Pm1 Pm 0.0000 0.0000 0.0000
Zn1 Zn 0.0000 0.0000 0.5000
Rh1 Rh 0.2500 0.2500 0.7500
```

Main lines, in order of rising 2θ (2θ from 10° to 90°):
23.72 deg, I = 40, hkl 1 1 1; 27.45 deg, I = 16, hkl 2 0 0; 39.21 deg, I = 100, hkl 2 2 0; 46.34 deg, I = 20, hkl 3 1 1; 56.66 deg, I = 17, hkl 4 0 0; 62.28 deg, I = 8, hkl 3 3 1; 71.07 deg, I = 34, hkl 4 2 2; 76.11 deg, I = 6, hkl 5 1 1; 84.30 deg, I = 11, hkl 4 4 0; 89.15 deg, I = 6, hkl 5 3 1



No. 4
For Cs8SbTe2, a cell relaxed with PBE gives the theoretical X-ray powder pattern in this record (Cu Kα (λ = 1.5418 Å)).
Lines closer than 0.1° are merged.

Cell and atoms:
```
data_Cs8SbTe2
_chemical_formula_sum 'Cs16 Sb2 Te4'
_cell_length_a 6.2503
_cell_length_b 9.9892
_cell_length_c 18.8674
_cell_angle_alpha 90.00
_cell_angle_beta 90.00
_cell_angle_gamma 90.00
_symmetry_space_group_name_H-M 'I m m m'
_symmetry_Int_Tables_number 71
_symmetry_space_group_name_Hall '-I 2 2'
loop_
_atom_site_label
_atom_site_type_symbol
_atom_site_fract_x
_atom_site_fract_y
_atom_site_fract_z
Cs1 Cs 0.0000 0.0000 0.1486
Cs2 Cs 0.0000 0.2185 0.3485
Cs3 Cs 0.0000 0.3028 0.0000
Sb1 Sb 0.0000 0.5000 0.5000
Te1 Te 0.0000 0.5000 0.1933
```

Main lines, in order of rising 2θ (2θ from 10° to 90°):
25.28 deg, I = 24, hkl 1 1 4; 26.89 deg, I = 100, hkl 1 2 3; 27.20 deg, I = 10, hkl 0 3 1; 28.38 deg, I = 19, hkl 0 0 6; 28.56 deg, I = 27, hkl 2 0 0; 40.70 deg, I = 15, hkl 2 0 6; 43.18 deg, I = 9, hkl 0 3 7; 49.57 deg, I = 20, hkl 3 2 3; 51.80 deg, I = 11, hkl 1 5 4; 52.59 deg, I = 10, hkl 2 3 7



No. 5
For V2PdSe, a cell relaxed with PBE gives the theoretical X-ray powder pattern in this record (Cu Kα (λ = 1.5418 Å)).
Lines closer than 0.1° are merged.

Cell and atoms:
```
data_V2PdSe
_chemical_formula_sum 'V8 Pd4 Se4'
_cell_length_a 6.8759
_cell_length_b 6.8759
_cell_length_c 5.3029
_cell_angle_alpha 90.00
_cell_angle_beta 90.00
_cell_angle_gamma 90.00
_symmetry_space_group_name_H-M 'I -4 2 d'
_symmetry_Int_Tables_number 122
_symmetry_space_group_name_Hall 'I -4 2bw'
loop_
_atom_site_label
_atom_site_type_symbol
_atom_site_fract_x
_atom_site_fract_y
_atom_site_fract_z
V1 V 0.2290 0.2500 0.1250
Pd1 Pd 0.0000 0.0000 0.5000
Se1 Se 0.0000 0.0000 0.0000
```

Main lines, in order of rising 2θ (2θ from 10° to 90°):
25.92 deg, I = 25, hkl 2 0 0; 36.98 deg, I = 100, hkl 2 2 0; 38.68 deg, I = 98, hkl 1 1 2; 53.29 deg, I = 33, hkl 4 0 0; 54.58 deg, I = 69, hkl 3 1 2; 60.19 deg, I = 6, hkl 4 2 0; 67.77 deg, I = 17, hkl 3 3 2; 77.11 deg, I = 22, hkl 2 0 4; 78.73 deg, I = 9, hkl 4 4 0; 79.79 deg, I = 21, hkl 5 1 2



No. 6
For Sm7DyEr3, a cell relaxed with PBE gives the theoretical X-ray powder pattern in this record (Cu Kα (λ = 1.5418 Å)).
Lines closer than 0.1° are merged.

Cell and atoms:
```
data_Sm7DyEr3
_chemical_formula_sum 'Sm7 Dy1 Er3'
_cell_length_a 7.0393
_cell_length_b 5.6011
_cell_length_c 9.9588
_cell_angle_alpha 90.00
_cell_angle_beta 110.50
_cell_angle_gamma 90.00
_symmetry_space_group_name_H-M 'P 1 2/m 1'
_symmetry_Int_Tables_number 10
loop_
_symmetry_equiv_pos_as_xyz
'x,y,z'
'-x,-y,-z'
'-x,y,-z'
'x,-y,z'
loop_
_atom_site_label
_atom_site_type_symbol
_atom_site_fract_x
_atom_site_fract_y
_atom_site_fract_z
Sm1 Sm 0.0000 0.0000 0.0000
Sm2 Sm 0.1464 0.5000 0.2920
Sm3 Sm 0.3214 0.5000 0.6408
Sm4 Sm 0.4166 0.0000 0.8298
Dy1 Dy 0.0000 0.0000 0.5000
Er1 Er 0.2789 0.5000 0.9996
Er2 Er 0.5000 0.0000 0.5000
```

Main lines, in order of rising 2θ (2θ from 10° to 90°):
24.85 deg, I = 8, hkl 0 1 2; 31.51 deg, I = 100, hkl 2 1 0; 31.80 deg, I = 11, hkl 2 0 1; 31.94 deg, I = 46, hkl 0 2 0; 32.95 deg, I = 37, hkl 0 1 3; 45.75 deg, I = 17, hkl 2 2 -3; 51.97 deg, I = 11, hkl 4 0 -2; 56.67 deg, I = 19, hkl 2 3 0; 57.60 deg, I = 10, hkl 0 3 3; 62.32 deg, I = 12, hkl 4 2 -2



No. 7
For HoTm2Tl5, a cell relaxed with PBE gives the theoretical X-ray powder pattern in this record (Cu Kα (λ = 1.5418 Å)).
Lines closer than 0.1° are merged.

Cell and atoms:
```
data_HoTm2Tl5
_chemical_formula_sum 'Ho2 Tm4 Tl10'
_cell_length_a 7.7322
_cell_length_b 7.7322
_cell_length_c 7.2907
_cell_angle_alpha 90.00
_cell_angle_beta 90.00
_cell_angle_gamma 90.00
_symmetry_space_group_name_H-M 'I 4 m m'
_symmetry_Int_Tables_number 107
_symmetry_space_group_name_Hall 'I 4 -2'
loop_
_atom_site_label
_atom_site_type_symbol
_atom_site_fract_x
_atom_site_fract_y
_atom_site_fract_z
Ho1 Ho 0.0000 0.0000 0.0000
Tm1 Tm 0.0000 0.5000 0.0006
Tl1 Tl 0.0000 0.0000 0.5010
Tl2 Tl 0.2498 0.2498 0.2505
```

Main lines, in order of rising 2θ (2θ from 10° to 90°):
32.76 deg, I = 54, hkl 2 2 0; 33.80 deg, I = 100, hkl 2 0 2; 47.01 deg, I = 20, hkl 4 0 0; 50.04 deg, I = 8, hkl 0 0 4; 59.14 deg, I = 41, hkl 4 2 2; 61.11 deg, I = 19, hkl 2 2 4; 71.09 deg, I = 12, hkl 4 0 4; 78.18 deg, I = 9, hkl 6 2 0; 78.77 deg, I = 9, hkl 6 0 2; 83.37 deg, I = 8, hkl 2 0 6



No. 8
For Sr3PaPt3, a cell relaxed with PBE gives the theoretical X-ray powder pattern in this record (Cu Kα (λ = 1.5418 Å)).
Lines closer than 0.1° are merged.

Cell and atoms:
```
data_Sr3PaPt3
_chemical_formula_sum 'Sr6 Pa2 Pt6'
_cell_length_a 8.1159
_cell_length_b 4.5355
_cell_length_c 11.7923
_cell_angle_alpha 90.00
_cell_angle_beta 101.84
_cell_angle_gamma 90.00
_symmetry_space_group_name_H-M 'P 1 21/m 1'
_symmetry_Int_Tables_number 11
loop_
_symmetry_equiv_pos_as_xyz
'x,y,z'
'-x,-y,-z'
'-x,y+1/2,-z'
'x,-y+1/2,z'
loop_
_atom_site_label
_atom_site_type_symbol
_atom_site_fract_x
_atom_site_fract_y
_atom_site_fract_z
Sr1 Sr 0.0381 0.2500 0.1267
Sr2 Sr 0.1491 0.2500 0.6377
Sr3 Sr 0.3636 0.7500 0.3649
Pa1 Pa 0.4607 0.7500 0.8707
Pt1 Pt 0.2667 0.2500 0.9166
Pt2 Pt 0.3175 0.7500 0.0843
Pt3 Pt 0.3873 0.7500 0.6351
```

Main lines, in order of rising 2θ (2θ from 10° to 90°):
11.14 deg, I = 100, hkl 1 0 0; 12.16 deg, I = 24, hkl 1 0 -1; 29.71 deg, I = 31, hkl 2 1 -1; 29.90 deg, I = 57, hkl 2 1 0; 30.99 deg, I = 49, hkl 0 0 4; 31.52 deg, I = 30, hkl 2 1 -2; 39.75 deg, I = 48, hkl 0 2 0; 39.95 deg, I = 44, hkl 2 1 -4; 41.01 deg, I = 32, hkl 2 1 3; 51.24 deg, I = 24, hkl 0 2 4



No. 9
For Y2B2Ru, a cell relaxed with PBE gives the theoretical X-ray powder pattern in this record (Cu Kα (λ = 1.5418 Å)).
Lines closer than 0.1° are merged.

Cell and atoms:
```
data_Y2B2Ru
_chemical_formula_sum 'Y8 B8 Ru4'
_cell_length_a 11.2084
_cell_length_b 3.6975
_cell_length_c 9.3205
_cell_angle_alpha 90.00
_cell_angle_beta 119.87
_cell_angle_gamma 90.00
_symmetry_space_group_name_H-M 'C 1 2/m 1'
_symmetry_Int_Tables_number 12
loop_
_symmetry_equiv_pos_as_xyz
'x,y,z'
'-x,-y,-z'
'-x,y,-z'
'x,-y,z'
'x+1/2,y+1/2,z'
'-x+1/2,-y+1/2,-z'
'-x+1/2,y+1/2,-z'
'x+1/2,-y+1/2,z'
loop_
_atom_site_label
_atom_site_type_symbol
_atom_site_fract_x
_atom_site_fract_y
_atom_site_fract_z
Y1 Y 0.0055 0.0000 0.1785
Y2 Y 0.1747 0.0000 0.5978
B1 B 0.0146 0.5000 0.6039
B2 B 0.1713 0.5000 0.0687
Ru1 Ru 0.2202 0.5000 0.8656
```

Main lines, in order of rising 2θ (2θ from 10° to 90°):
25.78 deg, I = 55, hkl 1 1 0; 30.93 deg, I = 57, hkl 1 1 -2; 32.78 deg, I = 67, hkl 4 0 -1; 34.23 deg, I = 35, hkl 3 1 -1; 35.18 deg, I = 96, hkl 3 1 -2; 37.10 deg, I = 100, hkl 1 1 2; 39.49 deg, I = 66, hkl 3 1 -3; 42.57 deg, I = 62, hkl 3 1 1; 49.29 deg, I = 41, hkl 0 2 0; 63.30 deg, I = 32, hkl 7 1 -3



No. 10
For Tl3Zn2Cl2F5, a cell relaxed with PBE gives the theoretical X-ray powder pattern in this record (Cu Kα (λ = 1.5418 Å)).
Lines closer than 0.1° are merged.

Cell and atoms:
```
data_Tl3Zn2Cl2F5
_chemical_formula_sum 'Tl6 Zn4 Cl4 F10'
_cell_length_a 4.3840
_cell_length_b 4.3840
_cell_length_c 24.0523
_cell_angle_alpha 90.00
_cell_angle_beta 90.00
_cell_angle_gamma 90.00
_symmetry_space_group_name_H-M 'I 4/m m m'
_symmetry_Int_Tables_number 139
_symmetry_space_group_name_Hall '-I 4 2'
loop_
_atom_site_label
_atom_site_type_symbol
_atom_site_fract_x
_atom_site_fract_y
_atom_site_fract_z
Tl1 Tl 0.0000 0.0000 0.0000
Tl2 Tl 0.0000 0.0000 0.1677
Zn1 Zn 0.0000 0.0000 0.4157
Cl1 Cl 0.0000 0.0000 0.3163
F1 F 0.0000 0.0000 0.5000
F2 F 0.0000 0.5000 0.0831
```

Main lines, in order of rising 2θ (2θ from 10° to 90°):
20.59 deg, I = 38, hkl 1 0 1; 22.18 deg, I = 34, hkl 0 0 6; 27.53 deg, I = 80, hkl 1 0 5; 28.80 deg, I = 100, hkl 1 1 0; 33.13 deg, I = 61, hkl 1 0 7; 36.65 deg, I = 70, hkl 1 1 6; 41.18 deg, I = 56, hkl 2 0 0; 50.25 deg, I = 33, hkl 2 1 5; 53.83 deg, I = 36, hkl 2 1 7; 54.52 deg, I = 30, hkl 1 1 12